(1)
This entry pairs a crystal structure of La2CeH8 with its computed X-ray powder pattern. Radiation: copper Kα. Structure: a structure optimized by DFT (GGA-PBE).
Neutral-atom scattering factors, no anomalous dispersion.

Largest 10 diffraction maxima, in order of rising 2θ, 15 to 90 degrees two-theta:
- 27.95 deg, I = 100, (1 1 0)
- 32.39 deg, I = 50, (1 0 3)
- 46.46 deg, I = 39, (2 0 0)
- 55.10 deg, I = 45, (2 1 3)
- 57.77 deg, I = 13, (2 2 0)
- 74.83 deg, I = 9, (3 1 0)
- 74.90 deg, I = 9, (1 3 6)
- 77.18 deg, I = 14, (1 4 3)
- 86.10 deg, I = 4, (3 2 3)
- 86.22 deg, I = 9, (2 4 0)

Structure:
a = 3.914 Å, b = 5.523 Å, c = 11.724 Å
α = 90.00°, β = 90.00°, γ = 90.00°
Space group Immm (No. 71)
One atom of each set of equivalent atoms:
La (0.000, 0.000, 0.169) (multiplicity 4)
Ce (0.000, 0.000, 0.500) (multiplicity 2)
H (0.000, 0.239, 0.000) (multiplicity 4)
H (0.000, 0.257, 0.342) (multiplicity 8)
H (0.000, 0.500, 0.159) (multiplicity 4)


(2)
This entry pairs a crystal structure of LiPb2 with its computed X-ray powder pattern. Radiation: copper Kα. Structure: a structure optimized by DFT (GGA-PBE).
Neutral-atom scattering factors, no anomalous dispersion.

Largest 10 diffraction maxima, in order of rising 2θ, 15 to 90 degrees two-theta:
- 25.65 deg, I = 68, (0 2 0)
- 25.93 deg, I = 70, (0 0 2)
- 27.26 deg, I = 100, (4 0 0)
- 29.80 deg, I = 42, (1 1 2)
- 31.95 deg, I = 55, (2 2 1)
- 35.69 deg, I = 27, (3 1 2)
- 36.80 deg, I = 42, (0 2 2)
- 37.77 deg, I = 54, (4 2 0)
- 37.97 deg, I = 56, (4 0 2)
- 46.38 deg, I = 46, (4 2 2)

Structure:
a = 13.088 Å, b = 6.947 Å, c = 6.872 Å
α = 90.00°, β = 90.00°, γ = 90.00°
Space group Cmce (No. 64)
One atom of each set of equivalent atoms:
Li (0.116, 0.000, 0.000) (multiplicity 8)
Pb (0.000, 0.171, 0.326) (multiplicity 8)
Pb (0.250, 0.238, 0.750) (multiplicity 8)


(3)
This entry pairs a crystal structure of Th5Ni6 with its computed X-ray powder pattern. Radiation: copper Kα. Structure: a structure optimized by DFT (GGA-PBE).
Neutral-atom scattering factors, no anomalous dispersion.

Largest 10 diffraction maxima, in order of rising 2θ, 15 to 90 degrees two-theta:
- 26.35 deg, I = 60, (1 5 0)
- 30.26 deg, I = 39, (0 10 0)
- 33.44 deg, I = 100, (1 3 1)
- 33.96 deg, I = 44, (0 8 1)
- 38.74 deg, I = 32, (1 7 1)
- 42.57 deg, I = 22, (1 9 1)
- 43.90 deg, I = 30, (2 0 0)
- 48.20 deg, I = 20, (0 0 2)
- 51.94 deg, I = 19, (1 13 1)
- 56.64 deg, I = 21, (2 8 1)

Structure:
a = 4.125 Å, b = 29.535 Å, c = 3.776 Å
α = 90.00°, β = 90.00°, γ = 90.00°
Space group Cmmm (No. 65)
One atom of each set of equivalent atoms:
Th (0.000, 0.000, 0.000) (multiplicity 2)
Th (0.000, 0.199, 0.500) (multiplicity 4)
Th (0.000, 0.390, 0.000) (multiplicity 4)
Ni (0.000, 0.097, 0.500) (multiplicity 4)
Ni (0.000, 0.281, 0.000) (multiplicity 4)
Ni (0.000, 0.459, 0.500) (multiplicity 4)


(4)
This entry pairs a crystal structure of Pm3H7Rh2 with its computed X-ray powder pattern. Radiation: copper Kα. Structure: a structure optimized by DFT (GGA-PBE).
Neutral-atom scattering factors, no anomalous dispersion.

Largest 10 diffraction maxima, in order of rising 2θ, 15 to 90 degrees two-theta:
- 21.72 deg, I = 30, (0 0 3)
- 25.95 deg, I = 63, (0 1 1)
- 31.10 deg, I = 95, (1 0 2)
- 37.36 deg, I = 100, (1 1 1)
- 38.66 deg, I = 46, (0 1 4)
- 51.09 deg, I = 16, (0 2 0)
- 51.53 deg, I = 16, (2 0 -1)
- 58.59 deg, I = 16, (2 1 -2)
- 61.03 deg, I = 27, (1 2 2)
- 66.24 deg, I = 19, (2 1 3)

Structure:
a = 3.547 Å, b = 3.576 Å, c = 12.404 Å
α = 90.00°, β = 98.21°, γ = 90.00°
Space group P2/m (No. 10)
One atom of each set of equivalent atoms:
Pm (0.000, 0.000, 0.000) (multiplicity 1)
Pm (0.178, 0.500, 0.354) (multiplicity 2)
H (0.105, 0.000, 0.206) (multiplicity 2)
H (0.318, 0.000, 0.637) (multiplicity 2)
H (0.395, 0.500, 0.793) (multiplicity 2)
H (0.500, 0.500, 0.000) (multiplicity 1)
Rh (0.391, 0.000, 0.785) (multiplicity 2)


(5)
This entry pairs a crystal structure of Rb4PaBr10 with its computed X-ray powder pattern. Radiation: copper Kα. Structure: a structure optimized by DFT (GGA-PBE).
Neutral-atom scattering factors, no anomalous dispersion.

Largest 10 diffraction maxima, in order of rising 2θ, 15 to 90 degrees two-theta:
- 19.56 deg, I = 74, (2 1 1)
- 31.16 deg, I = 54, (4 2 0)
- 32.72 deg, I = 100, (1 3 2)
- 37.06 deg, I = 31, (5 0 1)
- 39.72 deg, I = 25, (2 1 3)
- 44.65 deg, I = 22, (2 6 0)
- 49.17 deg, I = 15, (0 0 4)
- 51.32 deg, I = 18, (5 0 3)
- 56.45 deg, I = 24, (7 1 2)
- 59.37 deg, I = 24, (4 2 4)

Structure:
a = 12.834 Å, b = 12.834 Å, c = 7.413 Å
α = 90.00°, β = 90.00°, γ = 90.00°
Space group I4/m (No. 87)
One atom of each set of equivalent atoms:
Rb (0.106, 0.301, 0.000) (multiplicity 8)
Pa (0.000, 0.000, 0.500) (multiplicity 2)
Br (0.000, 0.500, 0.250) (multiplicity 4)
Br (0.083, 0.833, 0.276) (multiplicity 16)


(6)
This entry pairs a crystal structure of ZrTc2Ag with its computed X-ray powder pattern. Radiation: copper Kα. Structure: a structure optimized by DFT (GGA-PBE).
Neutral-atom scattering factors, no anomalous dispersion.

Largest 9 diffraction maxima, in order of rising 2θ, 15 to 90 degrees two-theta:
- 24.66 deg, I = 1, (1 0 1)
- 38.20 deg, I = 100, (1 1 2)
- 41.77 deg, I = 19, (0 0 4)
- 45.68 deg, I = 30, (2 0 0)
- 63.60 deg, I = 21, (2 0 4)
- 66.58 deg, I = 9, (2 2 0)
- 73.89 deg, I = 14, (1 1 6)
- 79.44 deg, I = 22, (3 1 2)
- 81.76 deg, I = 10, (2 2 4)

Structure:
a = 3.972 Å, b = 3.972 Å, c = 8.651 Å
α = 90.00°, β = 90.00°, γ = 90.00°
Space group I4/mmm (No. 139)
One atom of each set of equivalent atoms:
Zr (0.000, 0.000, 0.000) (multiplicity 2)
Tc (0.000, 0.500, 0.250) (multiplicity 4)
Ag (0.000, 0.000, 0.500) (multiplicity 2)


(7)
This entry pairs a crystal structure of Li2Pm2SmSb2 with its computed X-ray powder pattern. Radiation: copper Kα. Structure: a structure optimized by DFT (GGA-PBE).
Neutral-atom scattering factors, no anomalous dispersion.

Largest 10 diffraction maxima, in order of rising 2θ, 15 to 90 degrees two-theta:
- 21.74 deg, I = 84, (1 0 1)
- 31.46 deg, I = 100, (1 0 7)
- 33.97 deg, I = 98, (0 1 8)
- 37.70 deg, I = 97, (1 1 0)
- 49.88 deg, I = 41, (0 0 15)
- 51.64 deg, I = 34, (2 0 8)
- 64.16 deg, I = 64, (1 1 15)
- 65.67 deg, I = 31, (1 2 8)
- 68.05 deg, I = 17, (3 0 0)
- 88.95 deg, I = 27, (3 0 15)

Structure:
a = 4.7727 Å, b = 4.7727 Å, c = 27.4338 Å
α = 90.00°, β = 90.00°, γ = 120.00°
Space group R-3m (No. 166, hexagonal axes)
One atom of each set of equivalent atoms:
Li (0.0000, 0.0000, 0.0950) (multiplicity 6)
Pm (0.0000, 0.0000, 0.3703) (multiplicity 6)
Sm (0.0000, 0.0000, 0.5000) (multiplicity 3)
Sb (0.0000, 0.0000, 0.2345) (multiplicity 6)


(8)
This entry pairs a crystal structure of Y2NiPb with its computed X-ray powder pattern. Radiation: copper Kα. Structure: a structure optimized by DFT (GGA-PBE).
Neutral-atom scattering factors, no anomalous dispersion.

Largest 10 diffraction maxima, in order of rising 2θ, 15 to 90 degrees two-theta:
- 15.43 deg, I = 13, (0 0 2)
- 19.85 deg, I = 19, (0 1 1)
- 26.64 deg, I = 16, (1 0 1)
- 29.72 deg, I = 36, (0 1 3)
- 31.16 deg, I = 15, (0 0 4)
- 34.74 deg, I = 16, (1 0 3)
- 35.27 deg, I = 100, (1 1 2)
- 37.01 deg, I = 28, (0 2 0)
- 47.35 deg, I = 14, (1 0 5)
- 65.58 deg, I = 16, (1 3 2)

Structure:
a = 3.498 Å, b = 4.857 Å, c = 11.483 Å
α = 90.00°, β = 90.00°, γ = 90.00°
Space group Imm2 (No. 44)
One atom of each set of equivalent atoms:
Y (0.000, 0.000, 0.000) (multiplicity 2)
Y (0.000, 0.500, 0.206) (multiplicity 2)
Ni (0.000, 0.500, 0.702) (multiplicity 2)
Pb (0.000, 0.000, 0.401) (multiplicity 2)


(9)
This entry pairs a crystal structure of HoGa2Pt3 with its computed X-ray powder pattern. Radiation: copper Kα. Structure: a structure optimized by DFT (GGA-PBE).
Neutral-atom scattering factors, no anomalous dispersion.

Largest 10 diffraction maxima, in order of rising 2θ, 15 to 90 degrees two-theta:
- 24.40 deg, I = 25, (1 0 1)
- 37.45 deg, I = 100, (1 0 4)
- 40.94 deg, I = 89, (1 1 0)
- 43.63 deg, I = 18, (1 0 5)
- 56.69 deg, I = 30, (2 0 4)
- 72.27 deg, I = 30, (2 1 4)
- 74.57 deg, I = 15, (3 0 0)
- 75.12 deg, I = 18, (1 1 8)
- 76.44 deg, I = 7, (2 1 5)
- 88.77 deg, I = 10, (2 2 0)

Structure:
a = 4.4086 Å, b = 4.4086 Å, c = 12.3533 Å
α = 90.00°, β = 90.00°, γ = 120.00°
Space group P6_3/mmc (No. 194)
One atom of each set of equivalent atoms:
Ho (0.0000, 0.0000, 0.2500) (multiplicity 2)
Ga (0.3333, 0.6667, 0.0866) (multiplicity 4)
Pt (0.0000, 0.0000, 0.0000) (multiplicity 2)
Pt (0.3333, 0.6667, 0.6263) (multiplicity 4)


(10)
This entry pairs a crystal structure of Pr2Sm5Dy2 with its computed X-ray powder pattern. Radiation: copper Kα. Structure: a structure optimized by DFT (GGA-PBE).
Neutral-atom scattering factors, no anomalous dispersion.

Largest 10 diffraction maxima, in order of rising 2θ, 15 to 90 degrees two-theta:
- 26.25 deg, I = 24, (3 1 1)
- 30.19 deg, I = 47, (5 1 -1)
- 30.52 deg, I = 50, (2 2 -2)
- 30.93 deg, I = 100, (4 0 -4)
- 31.08 deg, I = 17, (0 2 2)
- 31.50 deg, I = 13, (2 2 1)
- 31.97 deg, I = 16, (2 0 3)
- 33.03 deg, I = 13, (6 0 -1)
- 34.51 deg, I = 15, (4 2 -2)
- 46.31 deg, I = 18, (3 3 1)

Structure:
a = 16.736 Å, b = 6.795 Å, c = 12.097 Å
α = 90.00°, β = 116.49°, γ = 90.00°
Space group C2 (No. 5)
One atom of each set of equivalent atoms:
Pr (0.116, 0.000, 0.117) (multiplicity 4)
Pr (0.137, 0.453, 0.638) (multiplicity 4)
Sm (0.052, 0.263, 0.807) (multiplicity 4)
Sm (0.062, 0.820, 0.804) (multiplicity 4)
Sm (0.111, 0.620, 0.354) (multiplicity 4)
Sm (0.177, 0.126, 0.431) (multiplicity 4)
Sm (0.226, 0.601, 0.988) (multiplicity 4)
Dy (0.000, 0.531, 0.000) (multiplicity 2)
Dy (0.000, 0.982, 0.500) (multiplicity 2)
Dy (0.233, 0.932, 0.730) (multiplicity 4)


(11)
This entry pairs a crystal structure of VOsRu4 with its computed X-ray powder pattern. Radiation: copper Kα. Structure: a structure optimized by DFT (GGA-PBE).
Neutral-atom scattering factors, no anomalous dispersion.

Largest 10 diffraction maxima, in order of rising 2θ, 15 to 90 degrees two-theta:
- 40.89 deg, I = 100, (1 3 2)
- 47.25 deg, I = 16, (0 0 4)
- 47.61 deg, I = 16, (0 6 0)
- 47.87 deg, I = 16, (2 0 0)
- 69.33 deg, I = 10, (0 6 4)
- 69.54 deg, I = 10, (2 0 4)
- 83.48 deg, I = 12, (1 3 6)
- 84.02 deg, I = 12, (1 9 2)
- 84.40 deg, I = 12, (3 3 2)
- 88.64 deg, I = 11, (2 6 4)

Structure:
a = 3.801 Å, b = 11.459 Å, c = 7.694 Å
α = 90.00°, β = 90.00°, γ = 90.00°
Space group Imma (No. 74)
One atom of each set of equivalent atoms:
V (0.000, 0.250, 0.118) (multiplicity 4)
Os (0.000, 0.250, 0.626) (multiplicity 4)
Ru (0.000, 0.082, 0.876) (multiplicity 8)
Ru (0.000, 0.085, 0.373) (multiplicity 8)


(12)
This entry pairs a crystal structure of TbHo5Tm3 with its computed X-ray powder pattern. Radiation: copper Kα. Structure: a structure optimized by DFT (GGA-PBE).
Neutral-atom scattering factors, no anomalous dispersion.

Largest 10 diffraction maxima, in order of rising 2θ, 15 to 90 degrees two-theta:
- 29.83 deg, I = 59, (0 1 3)
- 31.08 deg, I = 100, (2 3 1)
- 31.36 deg, I = 60, (0 6 0)
- 33.49 deg, I = 64, (2 2 2)
- 38.25 deg, I = 30, (2 4 2)
- 39.63 deg, I = 33, (0 5 3)
- 51.02 deg, I = 17, (4 0 0)
- 53.80 deg, I = 20, (2 8 2)
- 59.07 deg, I = 33, (2 3 5)
- 61.12 deg, I = 18, (4 6 0)

Structure:
a = 7.160 Å, b = 17.117 Å, c = 9.126 Å
α = 90.00°, β = 90.00°, γ = 90.00°
Space group Imma (No. 74)
One atom of each set of equivalent atoms:
Tb (0.000, 0.250, 0.050) (multiplicity 4)
Ho (0.000, 0.250, 0.415) (multiplicity 4)
Ho (0.248, 0.086, 0.070) (multiplicity 16)
Tm (0.000, 0.067, 0.749) (multiplicity 8)
Tm (0.250, 0.250, 0.750) (multiplicity 4)


Copy entry 4 word for word.
This entry pairs a crystal structure of Pm3H7Rh2 with its computed X-ray powder pattern. Radiation: copper Kα. Structure: a structure optimized by DFT (GGA-PBE).
Neutral-atom scattering factors, no anomalous dispersion.

Largest 10 diffraction maxima, in order of rising 2θ, 15 to 90 degrees two-theta:
- 21.72 deg, I = 30, (0 0 3)
- 25.95 deg, I = 63, (0 1 1)
- 31.10 deg, I = 95, (1 0 2)
- 37.36 deg, I = 100, (1 1 1)
- 38.66 deg, I = 46, (0 1 4)
- 51.09 deg, I = 16, (0 2 0)
- 51.53 deg, I = 16, (2 0 -1)
- 58.59 deg, I = 16, (2 1 -2)
- 61.03 deg, I = 27, (1 2 2)
- 66.24 deg, I = 19, (2 1 3)

Structure:
a = 3.547 Å, b = 3.576 Å, c = 12.404 Å
α = 90.00°, β = 98.21°, γ = 90.00°
Space group P2/m (No. 10)
One atom of each set of equivalent atoms:
Pm (0.000, 0.000, 0.000) (multiplicity 1)
Pm (0.178, 0.500, 0.354) (multiplicity 2)
H (0.105, 0.000, 0.206) (multiplicity 2)
H (0.318, 0.000, 0.637) (multiplicity 2)
H (0.395, 0.500, 0.793) (multiplicity 2)
H (0.500, 0.500, 0.000) (multiplicity 1)
Rh (0.391, 0.000, 0.785) (multiplicity 2)